Starting from a cell relaxed with PBE+U, the X-ray powder pattern of Rb3V2Cl3F4 was computed for CuKα.
No peak broadening, texture or thermal motion is included.

Peak list (8 most intense, 10 to 90 degrees two-theta, in order of rising 2θ)
Position (°2θ)  I_rel  hkl
25.21  683  0 1 5
27.30  1000  1 1 0
27.63  907  1 0 5
30.99  420  1 1 4
35.10  568  1 1 6
35.44  702  0 2 0
36.46  565  0 0 10
45.52  452  1 2 5

Atomic structure:
```
data_Rb3V2Cl3F4
_space_group_name_H-M_alt 'I m m m'
_space_group_IT_number 71
_space_group_name_Hall '-I 2 2'
_cell_length_a 4.273
_cell_length_b 5.066
_cell_length_c 24.640
_cell_angle_alpha 90.00
_cell_angle_beta 90.00
_cell_angle_gamma 90.00
loop_
_atom_site_label
_atom_site_type_symbol
_atom_site_fract_x
_atom_site_fract_y
_atom_site_fract_z
Rb1 Rb 0.000 0.000 0.000
Rb2 Rb 0.000 0.000 0.195
V1 V 0.000 0.000 0.391
Cl1 Cl 0.000 0.000 0.500
Cl2 Cl 0.000 0.500 0.399
F1 F 0.000 0.000 0.306
F2 F 0.000 0.500 0.111
```